The following is a simulated X-ray diffraction stick pattern of UBe17Tc. It was derived from the GGA-PBE geometry in Alexandria, using Cu Kα (weighted mean of Kα1 and Kα2).
Peak positions follow from Bragg's law for the DFT cell and can differ from measured ones.

Cell and atoms:
```
data_UBe17Tc
_space_group_name_H-M_alt 'R 3 m'
_space_group_IT_number 160
_space_group_name_Hall 'R 3 -2"'
_cell_length_a 7.4927
_cell_length_b 7.4927
_cell_length_c 10.9253
_cell_angle_alpha 90.00
_cell_angle_beta 90.00
_cell_angle_gamma 120.00
loop_
_atom_site_label
_atom_site_type_symbol
_atom_site_fract_x
_atom_site_fract_y
_atom_site_fract_z
_atom_site_occupancy
U1 U 0.0000 0.0000 0.0000 1
Be1 Be 0.0000 0.0000 0.2464 1
Be2 Be 0.0000 0.0000 0.4393 1
Be3 Be 0.0028 0.5014 0.8378 1
Be4 Be 0.0069 0.2948 0.3385 1
Be5 Be 0.0089 0.5044 0.4942 1
Be6 Be 0.0103 0.5052 0.1852 1
Tc1 Tc 0.0000 0.0000 0.6652 1
```

The 10 most intense peaks (2θ = 10–80°), in order of falling intensity:
| d (Å) | I/Imax | hkl |
| --- | --- | --- |
| 3.746 | 100 | 1 1 0 |
| 2.611 | 92 | 1 1 3 |
| 5.579 | 86 | 1 0 1 |
| 4.179 | 51 | 0 1 2 |
| 1.860 | 44 | 3 0 3 |
| 3.642 | 32 | 0 0 3 |
| 2.163 | 31 | 3 0 0 |
| 3.110 | 26 | 0 2 1 |
| 2.393 | 25 | 2 1 1 |
| 1.320 | 24 | 1 4 3 |